Theoretical powder XRD pattern of Cr2FeO4 for Cu Kα (λ = 1.5418 Å), from the PBE+U geometry in the Materials Project.

Peak list (10 most intense, 10 to 90 degrees two-theta, in order of rising 2θ)
two_theta, I_rel
29.5, 50.5
29.8, 31.8
34.4, 95.2
35.0, 100.0
35.1, 99.8
55.1, 34.8
56.2, 30.7
61.1, 44.9
61.3, 44.4
62.0, 43.6

Cell and atoms:
Cell: 5.990 5.990 6.052 Å, 119.45 119.45 90.36°
Atoms (fractional coordinates):
Cr: 0.000 0.500 0.249
Cr: 0.001 0.001 0.251
Cr: 0.500 0.000 0.751
Cr: 0.999 0.999 0.749
Fe: 0.376 0.624 0.000
Fe: 0.625 0.375 0.500
O: 0.212 0.235 0.217
O: 0.233 0.755 0.717
O: 0.234 0.212 0.718
O: 0.245 0.767 0.283
O: 0.756 0.234 0.218
O: 0.765 0.788 0.783
O: 0.766 0.244 0.782
O: 0.788 0.766 0.282


Theoretical powder XRD pattern of Li10Cr2Fe3Co3O16 for Cu Kα (λ = 1.5418 Å), from the PBE+U geometry in the Materials Project.

Peak list (10 most intense, 10 to 90 degrees two-theta, in order of rising 2θ)
two_theta, I_rel
18.0, 59.9
19.4, 100.0
25.0, 30.0
32.3, 28.0
35.2, 51.8
36.0, 66.0
39.4, 35.4
44.7, 92.0
59.1, 23.6
62.3, 51.3

Cell and atoms:
Cell: 5.962 5.962 9.834 Å, 90.15 90.15 60.05°
Atoms (fractional coordinates):
Li: 0.000 0.000 0.000
Li: 0.004 0.004 0.505
Li: 0.195 0.195 0.928
Li: 0.203 0.605 0.933
Li: 0.333 0.333 0.712
Li: 0.394 0.810 0.431
Li: 0.605 0.203 0.933
Li: 0.666 0.666 0.212
Li: 0.810 0.394 0.431
Li: 0.811 0.811 0.430
Cr: 0.333 0.333 0.458
Cr: 0.665 0.665 0.955
Fe: 0.169 0.661 0.200
Fe: 0.661 0.169 0.200
Fe: 0.834 0.834 0.702
Co: 0.168 0.168 0.199
Co: 0.344 0.827 0.698
Co: 0.827 0.344 0.698
O: 0.003 0.003 0.808
O: 0.024 0.495 0.326
O: 0.164 0.667 0.577
O: 0.171 0.171 0.575
O: 0.333 0.824 0.074
O: 0.337 0.337 0.082
O: 0.490 0.490 0.325
O: 0.495 0.024 0.326
O: 0.512 0.512 0.826
O: 0.521 0.978 0.827
O: 0.667 0.164 0.577
O: 0.672 0.672 0.582
O: 0.824 0.333 0.074
O: 0.833 0.833 0.081
O: 0.978 0.521 0.827
O: 0.995 0.995 0.312


Theoretical powder XRD pattern of Li9Mn2Co5O16 for Cu Kα (λ = 1.5418 Å), from the PBE+U geometry in the Materials Project.

Peak list (10 most intense, 10 to 90 degrees two-theta, in order of rising 2θ)
two_theta, I_rel
18.5, 100.0
35.0, 16.8
36.8, 12.4
36.9, 11.8
42.0, 31.0
44.7, 26.0
44.8, 25.2
47.8, 9.3
58.9, 9.4
63.0, 22.3

Cell and atoms:
Cell: 6.433 6.450 7.869 Å, 87.69 66.09 71.62°
Atoms (fractional coordinates):
Li: 0.000 0.000 0.000
Li: 0.005 0.504 0.500
Li: 0.256 0.129 0.620
Li: 0.264 0.635 0.115
Li: 0.511 0.750 0.754
Li: 0.519 0.245 0.239
Li: 0.637 0.816 0.057
Li: 0.762 0.379 0.870
Li: 0.768 0.873 0.357
Mn: 0.387 0.185 0.934
Mn: 0.389 0.688 0.428
Co: 0.130 0.568 0.814
Co: 0.144 0.056 0.298
Co: 0.634 0.316 0.558
Co: 0.881 0.941 0.690
Co: 0.885 0.443 0.179
O: 0.089 0.291 0.894
O: 0.092 0.788 0.396
O: 0.196 0.827 0.695
O: 0.201 0.322 0.192
O: 0.324 0.925 0.018
O: 0.344 0.414 0.521
O: 0.423 0.966 0.350
O: 0.428 0.464 0.842
O: 0.570 0.544 0.180
O: 0.572 0.052 0.672
O: 0.680 0.593 0.471
O: 0.682 0.104 0.960
O: 0.841 0.170 0.277
O: 0.850 0.666 0.766
O: 0.925 0.211 0.590
O: 0.945 0.700 0.093


Theoretical powder XRD pattern of AlNiO3 for Cu Kα (λ = 1.5418 Å), from the PBE+U geometry in the Materials Project.

Peak list (10 most intense, 10 to 90 degrees two-theta, in order of rising 2θ)
two_theta, I_rel
22.2, 12.4
26.7, 30.9
35.0, 100.0
36.8, 11.8
45.3, 16.0
55.1, 18.7
59.8, 16.4
61.6, 16.4
65.2, 12.8
68.8, 17.8

Cell and atoms:
Cell: 4.881 8.004 4.564 Å, 90.00 90.00 90.00°
Atoms (fractional coordinates):
Al: 0.067 0.250 0.032
Al: 0.433 0.750 0.532
Al: 0.567 0.250 0.468
Al: 0.933 0.750 0.968
Ni: 0.000 0.000 0.500
Ni: 0.000 0.500 0.500
Ni: 0.500 0.000 0.000
Ni: 0.500 0.500 0.000
O: 0.096 0.750 0.328
O: 0.208 0.597 0.797
O: 0.208 0.903 0.797
O: 0.292 0.097 0.297
O: 0.292 0.403 0.297
O: 0.404 0.250 0.828
O: 0.596 0.750 0.172
O: 0.708 0.597 0.703
O: 0.708 0.903 0.703
O: 0.792 0.097 0.203
O: 0.792 0.403 0.203
O: 0.904 0.250 0.672


Q: Which formula does entry 3 have?
A: Li9Mn2Co5O16